Calculated powder diffractogram
Compound: K6Rb2NaO
Radiation: Cu Ka
Structure: the PBE geometry in Alexandria
Peak positions follow from Bragg's law for the DFT cell and can differ from measured ones.

Structure:
abc: 8.599 8.599 10.616
angles: 114.12 114.12 88.97
Atoms (fractional coordinates):
K1 0.000 0.000 0.000
K2 0.462 0.462 0.334
K3 0.467 0.882 0.345
K4 0.505 0.505 0.997
K5 0.879 0.879 0.341
K6 0.882 0.467 0.345
Rb1 0.394 0.899 0.786
Rb2 0.899 0.394 0.786
Na1 0.281 0.281 0.555
O1 0.644 0.644 0.282

Most intense lines, 5 to 70 degrees two-theta, most intense first:
23.08°, I = 100; 25.22°, I = 33; 17.91°, I = 30; 29.11°, I = 23; 29.65°, I = 21; 20.41°, I = 21; 34.31°, I = 21; 39.22°, I = 17; 17.74°, I = 15; 17.64°, I = 15